Structure and theoretical powder X-ray diffraction pattern of Li2TaVO6 (the PBE+U geometry in Alexandria; CuKα).

Structure:
```
data_Li2TaVO6
_cell_length_a 5.378
_cell_length_b 5.378
_cell_length_c 4.220
_cell_angle_alpha 90.00
_cell_angle_beta 90.00
_cell_angle_gamma 90.00
_symmetry_space_group_name_H-M 'P 4 m m'
_symmetry_Int_Tables_number 99
loop_
_symmetry_equiv_pos_as_xyz
'x,y,z'
'-y,x,z'
'-x,-y,z'
'y,-x,z'
'-x,y,z'
'y,x,z'
'x,-y,z'
'-y,-x,z'
loop_
_atom_site_label
_atom_site_fract_x
_atom_site_fract_y
_atom_site_fract_z
_atom_site_occupancy
Li1 0.000 0.500 0.000 1
Ta1 0.000 0.000 0.713 1
V1 0.500 0.500 0.704 1
O1 0.000 0.000 0.281 1
O2 0.257 0.257 0.804 1
O3 0.500 0.500 0.316 1
```

The 12 most intense peaks (2θ from 10° to 80°), in order of falling intensity:
2theta	intensity
23.39	100
21.05	66
31.67	59
16.48	51
26.85	32
33.32	26
49.40	26
47.84	24
58.51	21
52.81	21
43.30	21
53.91	19